[1]
Theoretical XRD peak list of ZrTlCu for Cu Kα X-rays, from the GGA-PBE geometry in Alexandria.
Peak positions follow from Bragg's law for the DFT cell and can differ from measured ones.

Largest 10 diffraction maxima, by angle, 2θ = 10–90°:
| Position (°2θ) | I/Imax | (hkl) |
| --- | --- | --- |
| 25.23 | 35 | 0 0 2 |
| 29.02 | 37 | 0 1 0 |
| 33.54 | 78 | 1 1 0 |
| 36.17 | 64 | 2 0 -2 |
| 37.53 | 87 | 1 1 1 |
| 38.24 | 64 | 0 0 3 |
| 38.82 | 70 | 2 0 1 |
| 39.53 | 100 | 1 1 -2 |
| 55.31 | 30 | 1 1 3 |
| 57.87 | 37 | 3 1 -1 |

Atomic structure:
Cell lengths 5.5879, 3.0771, 7.3238 Å; angles 90.00, 105.41, 90.00 degrees
Atoms (fractional coordinates):
Zr1 0.1003 0.0000 0.2966
Zr2 0.8997 0.0000 0.7034
Tl1 0.3881 0.5007 0.6835
Tl2 0.6119 0.5007 0.3165
Cu1 0.2236 0.4986 0.0030
Cu2 0.7764 0.4986 0.9970

***

[2]
Theoretical XRD peak list of CsIrPdI6 for Cu Kα X-rays, from the GGA-PBE geometry in Alexandria.
Peak positions follow from Bragg's law for the DFT cell and can differ from measured ones.

Largest 10 diffraction maxima, by angle, 2θ = 10–90°:
| Position (°2θ) | I/Imax | (hkl) |
| --- | --- | --- |
| 10.18 | 100 | 0 0 1 |
| 16.55 | 31 | 0 1 -1 |
| 17.71 | 25 | 0 1 1 |
| 18.09 | 21 | -1 1 1 |
| 24.59 | 20 | 1 1 -1 |
| 26.98 | 20 | -2 1 1 |
| 29.76 | 33 | 1 1 -2 |
| 33.31 | 31 | -1 2 2 |
| 33.46 | 32 | 2 -1 2 |
| 42.09 | 25 | 3 0 0 |

Atomic structure:
Cell lengths 7.0711, 7.0779, 8.7221 Å; angles 92.39, 92.83, 114.13 degrees
Atoms (fractional coordinates):
Cs1 0.0000 0.0000 0.0000
Ir1 0.6222 0.3760 0.4994
Pd1 0.2849 0.7133 0.4997
I1 0.3226 0.4195 0.3193
I2 0.3323 0.0727 0.6428
I3 0.5802 0.6742 0.6798
I4 0.6228 0.0877 0.2875
I5 0.9128 0.3738 0.7105
I6 0.9245 0.6673 0.3564

***

[3]
Theoretical XRD peak list of Mg3NbPt12 for Cu Kα X-rays, from the GGA-PBE geometry in Alexandria.
Peak positions follow from Bragg's law for the DFT cell and can differ from measured ones.

Largest 10 diffraction maxima, by angle, 2θ = 10–90°:
| Position (°2θ) | I/Imax | (hkl) |
| --- | --- | --- |
| 22.39 | 18 | 1 0 0 |
| 31.88 | 15 | 1 1 0 |
| 39.30 | 100 | 1 1 4 |
| 45.70 | 49 | 2 0 0 |
| 51.46 | 8 | 2 1 0 |
| 56.80 | 6 | 2 1 4 |
| 66.62 | 32 | 2 2 0 |
| 71.25 | 4 | 3 0 0 |
| 80.18 | 39 | 3 1 4 |
| 84.54 | 11 | 2 2 8 |

Atomic structure:
Cell lengths 3.9723, 3.9723, 15.8668 Å; angles 90.00, 90.00, 90.00 degrees
Atoms (fractional coordinates):
Mg1 0.0000 0.0000 0.0000
Mg2 0.0000 0.0000 0.2469
Mg3 0.0000 0.0000 0.7531
Nb1 0.0000 0.0000 0.5000
Pt1 0.0000 0.5000 0.1245
Pt2 0.0000 0.5000 0.3763
Pt3 0.0000 0.5000 0.6237
Pt4 0.0000 0.5000 0.8755
Pt5 0.5000 0.0000 0.1245
Pt6 0.5000 0.0000 0.3763
Pt7 0.5000 0.0000 0.6237
Pt8 0.5000 0.0000 0.8755
Pt9 0.5000 0.5000 0.0000
Pt10 0.5000 0.5000 0.2498
Pt11 0.5000 0.5000 0.5000
Pt12 0.5000 0.5000 0.7502